(1)
The following is a theoretical XRD peak list of Ce3Zn2Ir3. It was derived from a cell relaxed with GGA-PBE, using Cu Kα (weighted mean of Kα1 and Kα2).

Largest 10 diffraction maxima, low angle first, 10 to 90 degrees two-theta:
2θ/deg, intensity
21.83, 39.5
31.55, 45.3
37.28, 100.0
38.30, 70.2
38.70, 73.2
49.29, 37.1
50.43, 26.1
60.00, 25.2
72.93, 21.6
78.84, 17.0

Structure:
```
Ce3Zn2Ir3
1.0
8.1417 0.0000 0.0000
-4.0709 7.0509 0.0000
0.0000 0.0000 5.6712
Ce Zn Ir
6 4 6
Direct
0.0000 0.2726 0.2500 Ce
0.0000 0.7274 0.7500 Ce
0.2726 0.0000 0.2500 Ce
0.2726 0.2726 0.7500 Ce
0.7274 0.0000 0.7500 Ce
0.7274 0.7274 0.2500 Ce
0.3333 0.6667 0.0000 Zn
0.3333 0.6667 0.5000 Zn
0.6667 0.3333 0.0000 Zn
0.6667 0.3333 0.5000 Zn
0.0000 0.3876 0.7500 Ir
0.0000 0.6124 0.2500 Ir
0.3876 0.0000 0.7500 Ir
0.3876 0.3876 0.2500 Ir
0.6124 0.0000 0.2500 Ir
0.6124 0.6124 0.7500 Ir
```



(2)
The following is a theoretical XRD peak list of Ce3Zn3Ir2. It was derived from a cell relaxed with GGA-PBE, using Cu Kα (weighted mean of Kα1 and Kα2).

Largest 10 diffraction maxima, low angle first, 10 to 90 degrees two-theta:
2θ/deg, intensity
11.62, 99.7
17.98, 27.0
20.51, 32.0
26.41, 45.1
34.27, 95.4
35.54, 65.6
35.76, 39.0
36.97, 100.0
39.91, 74.6
40.98, 44.8

Structure:
```
Ce3Zn3Ir2
1.0
7.8000 -2.2588 0.0000
7.8000 2.2588 0.0000
-1.0890 0.0000 4.9335
Ce Zn Ir
3 3 2
Direct
0.0000 0.0000 0.0000 Ce
0.1612 0.1612 0.5842 Ce
0.8388 0.8388 0.4158 Ce
0.3675 0.3675 0.9267 Zn
0.5000 0.5000 0.5000 Zn
0.6325 0.6325 0.0733 Zn
0.2157 0.2157 0.1240 Ir
0.7843 0.7843 0.8760 Ir
```



(3)
The following is a theoretical XRD peak list of Ce4ZnIr4. It was derived from a cell relaxed with GGA-PBE, using Cu Kα (weighted mean of Kα1 and Kα2).

Largest 10 diffraction maxima, low angle first, 10 to 90 degrees two-theta:
2θ/deg, intensity
19.22, 12.8
28.60, 13.1
32.07, 100.0
33.07, 44.9
45.98, 28.6
46.73, 70.7
57.80, 29.0
76.84, 10.1
78.50, 15.5
85.69, 13.8

Structure:
```
Ce4ZnIr4
1.0
-4.4134 4.4134 2.7084
4.4134 -4.4134 2.7084
4.4134 4.4134 -2.7084
Ce Zn Ir
4 1 4
Direct
0.0880 0.6994 0.7874 Ce
0.3006 0.0880 0.3886 Ce
0.6994 0.9120 0.6114 Ce
0.9120 0.3006 0.2126 Ce
0.5000 0.5000 0.0000 Zn
0.2289 0.4098 0.6388 Ir
0.4098 0.7711 0.1809 Ir
0.5902 0.2289 0.8191 Ir
0.7711 0.5902 0.3612 Ir
```